This entry pairs a crystal structure of Rb3BaTc2O8 with its computed powder X-ray diffraction pattern. Radiation: Cu Kα. Structure: the PBE geometry in Alexandria.

The 8 most intense peaks (2θ = 15–90°), in order of falling intensity:
(hkl), two_theta, I (rel.)
1 1 0, 27.42, 1000
0 1 2, 26.69, 872
2 0 2, 38.64, 455
1 2 2, 48.03, 319
3 0 0, 48.48, 199
2 2 0, 56.60, 171
3 1 2, 63.64, 155
1 0 1, 19.04, 109

Structural model:
Lattice parameters (Å, degrees): 6.5048 6.5048 8.2950 90.00 90.00 120.00
Space group P-3m1 (No. 164)
Inequivalent atoms, fractional coordinates:
Rb 0.0000 0.0000 0.0000 (multiplicity 1)
Rb 0.3333 0.6667 0.6779 (multiplicity 2)
Ba 0.0000 0.0000 0.5000 (multiplicity 1)
Tc 0.3333 0.6667 0.2165 (multiplicity 2)
O 0.1831 0.3662 0.3017 (multiplicity 6)
O 0.3333 0.6667 0.0024 (multiplicity 2)

This entry pairs a crystal structure of RbBa2Te2O6 with its computed powder X-ray diffraction pattern. Radiation: Cu Kα. Structure: the PBE geometry in Alexandria.

The 8 most intense peaks (2θ = 15–90°), in order of falling intensity:
(hkl), two_theta, I (rel.)
0 1 2, 26.18, 1000
1 -1 0, 26.65, 634
1 2 0, 27.97, 553
1 0 2, 27.59, 494
2 1 0, 33.64, 493
1 1 -2, 29.35, 393
0 2 -2, 36.39, 364
1 1 -1, 21.86, 297

Structural model:
Lattice parameters (Å, degrees): 5.3419 6.6363 8.1637 89.07 87.06 69.08
Space group P-1 (No. 2)
Inequivalent atoms, fractional coordinates:
Rb 0.0000 0.0000 0.0000 (multiplicity 1)
Ba 0.3391 0.2985 0.3766 (multiplicity 2)
Te 0.3433 0.3463 0.8323 (multiplicity 2)
O 0.2093 0.5676 0.6608 (multiplicity 2)
O 0.3173 0.6239 0.1648 (multiplicity 2)
O 0.4087 0.1150 0.6798 (multiplicity 2)

This entry pairs a crystal structure of RbBa2TeO6 with its computed powder X-ray diffraction pattern. Radiation: Cu Kα. Structure: the PBE geometry in Alexandria.

The 8 most intense peaks (2θ = 15–90°), in order of falling intensity:
(hkl), two_theta, I (rel.)
1 1 1, 27.79, 1000
1 1 -3, 28.17, 969
2 0 -2, 28.53, 457
0 2 0, 26.97, 453
2 2 -2, 39.66, 404
2 0 -6, 50.56, 323
3 1 -1, 49.84, 229
0 0 4, 40.31, 227

Structural model:
Lattice parameters (Å, degrees): 6.2586 6.6120 10.8265 90.00 124.25 90.00
Space group P2_1/c (No. 14)
Inequivalent atoms, fractional coordinates:
Rb 0.0000 0.0000 0.0000 (multiplicity 2)
Ba 0.2275 0.0481 0.7422 (multiplicity 4)
Te 0.5000 0.0000 0.5000 (multiplicity 2)
O 0.2075 0.1587 0.4645 (multiplicity 4)
O 0.2768 0.7409 0.9243 (multiplicity 4)
O 0.4037 0.0649 0.2986 (multiplicity 4)

This entry pairs a crystal structure of RbBa3Tl2O6 with its computed powder X-ray diffraction pattern. Radiation: Cu Kα. Structure: the PBE geometry in Alexandria.

The 8 most intense peaks (2θ = 15–90°), in order of falling intensity:
(hkl), two_theta, I (rel.)
1 1 0, 26.33, 1000
0 1 2, 29.88, 547
2 0 2, 40.24, 288
1 2 2, 48.73, 287
1 1 2, 37.07, 278
3 0 0, 46.47, 216
2 2 0, 54.20, 175
1 2 4, 68.61, 139

Structural model:
Lattice parameters (Å, degrees): 6.7697 6.7697 6.9541 90.00 90.00 120.00
Space group P-3m1 (No. 164)
Inequivalent atoms, fractional coordinates:
Rb 0.0000 0.0000 0.0000 (multiplicity 1)
Ba 0.0000 0.0000 0.5000 (multiplicity 1)
Ba 0.3333 0.6667 0.0771 (multiplicity 2)
Tl 0.3333 0.6667 0.6054 (multiplicity 2)
O 0.1776 0.3553 0.7727 (multiplicity 6)